Record 1
The following is a theoretical XRD peak list of UF3. It was derived from a structure optimized by DFT (PBE), using Cu Kα, 1.54184 Å.
No peak broadening, texture or thermal motion is included.

Cell lengths 7.048, 7.048, 7.258 Å; angles 90.00, 90.00, 120.00 degrees
Element x y z (fractional)
U  0.000  0.327  0.000
U  0.000  0.673  0.500
U  0.327  0.000  0.000
U  0.327  0.327  0.500
U  0.673  0.000  0.500
U  0.673  0.673  0.000
F  0.000  0.000  0.084
F  0.000  0.000  0.584
F  0.000  0.280  0.334
F  0.000  0.374  0.669
F  0.000  0.626  0.169
F  0.000  0.720  0.834
F  0.280  0.000  0.334
F  0.280  0.280  0.834
F  0.333  0.667  0.443
F  0.333  0.667  0.943
F  0.374  0.000  0.669
F  0.374  0.374  0.169
F  0.626  0.000  0.169
F  0.626  0.626  0.669
F  0.667  0.333  0.443
F  0.667  0.333  0.943
F  0.720  0.000  0.834
F  0.720  0.720  0.334

Peak list (6 most intense, 15° ≤ 2θ ≤ 90°, low angle first)
- 24.5 deg, I = 35, (0 0 2)
- 25.3 deg, I = 25, (1 1 0)
- 28.1 deg, I = 100, (1 1 1)
- 44.5 deg, I = 34, (3 0 0)
- 45.5 deg, I = 44, (1 1 3)
- 51.5 deg, I = 31, (3 0 2)

***

Record 2
The following is a theoretical XRD peak list of UF2. It was derived from a structure optimized by DFT (PBE), using Cu Kα, 1.54184 Å.
No peak broadening, texture or thermal motion is included.

Cell lengths 6.033, 6.033, 3.010 Å; angles 90.00, 90.00, 90.00 degrees
Element x y z (fractional)
U  0.000  0.000  0.000
U  0.500  0.500  0.500
F  0.227  0.227  0.500
F  0.273  0.727  0.000
F  0.727  0.273  0.000
F  0.773  0.773  0.500

Peak list (6 most intense, 15° ≤ 2θ ≤ 90°, low angle first)
- 20.8 deg, I = 100, (1 1 0)
- 29.6 deg, I = 29, (2 0 0)
- 33.3 deg, I = 60, (1 0 1)
- 42.4 deg, I = 22, (2 2 0)
- 45.1 deg, I = 58, (2 1 1)
- 47.7 deg, I = 23, (3 1 0)

***

Record 3
The following is a theoretical XRD peak list of UF6. It was derived from a structure optimized by DFT (PBE), using Cu Kα, 1.54184 Å.
No peak broadening, texture or thermal motion is included.

Cell lengths 8.991, 8.157, 4.713 Å; angles 90.00, 90.00, 90.00 degrees
Element x y z (fractional)
U  0.128  0.250  0.084
U  0.372  0.750  0.584
U  0.628  0.250  0.416
U  0.872  0.750  0.916
F  0.002  0.250  0.731
F  0.004  0.577  0.748
F  0.004  0.923  0.748
F  0.241  0.576  0.415
F  0.241  0.924  0.415
F  0.242  0.750  0.934
F  0.258  0.250  0.434
F  0.259  0.076  0.915
F  0.259  0.424  0.915
F  0.496  0.077  0.248
F  0.496  0.423  0.248
F  0.498  0.750  0.231
F  0.502  0.250  0.769
F  0.504  0.577  0.752
F  0.504  0.923  0.752
F  0.741  0.576  0.085
F  0.741  0.924  0.085
F  0.742  0.750  0.566
F  0.758  0.250  0.066
F  0.759  0.076  0.585
F  0.759  0.424  0.585
F  0.996  0.077  0.252
F  0.996  0.423  0.252
F  0.998  0.750  0.269

Peak list (6 most intense, 15° ≤ 2θ ≤ 90°, low angle first)
- 21.3 deg, I = 41, (1 0 1)
- 21.8 deg, I = 81, (0 2 0)
- 22.6 deg, I = 100, (2 1 0)
- 23.9 deg, I = 68, (1 1 1)
- 30.6 deg, I = 36, (1 2 1)
- 38.7 deg, I = 28, (2 3 0)

***

Number 1 is which compound? UF3

***

Which formula does entry 3 have? UF6